(1)
Theoretical X-ray powder pattern
Compound: SiO2
Radiation: Cu Kα (λ = 1.5418 Å)
Structure: a crystal structure in the Materials Project, relaxed with GGA-PBE

Crystal structure
abc: 11.0075 11.0075 10.2248
angles: 90.00 90.00 133.09
Fractional coordinates of all 48 atoms:
Si: 0.0148 0.6172 0.6068
Si: 0.1172 0.5148 0.1068
Si: 0.1270 0.2372 0.1109
Si: 0.2372 0.1270 0.8891
Si: 0.2628 0.3730 0.3891
Si: 0.3730 0.2628 0.6109
Si: 0.3828 0.9852 0.6068
Si: 0.4852 0.8828 0.1068
Si: 0.5148 0.1172 0.8932
Si: 0.6172 0.0148 0.3932
Si: 0.6270 0.7372 0.3891
Si: 0.7372 0.6270 0.6109
Si: 0.7628 0.8730 0.1109
Si: 0.8730 0.7628 0.8891
Si: 0.8828 0.4852 0.8932
Si: 0.9852 0.3828 0.3932
O: 0.0000 0.5000 0.0000
O: 0.0000 0.5000 0.5000
O: 0.0310 0.4690 0.2500
O: 0.0679 0.9321 0.8738
O: 0.1120 0.3599 0.4320
O: 0.1401 0.3880 0.0680
O: 0.2031 0.7969 0.6088
O: 0.2160 0.2160 0.0000
O: 0.2211 0.2789 0.2500
O: 0.2789 0.2211 0.7500
O: 0.2840 0.2840 0.5000
O: 0.2969 0.7031 0.1088
O: 0.3599 0.1120 0.5680
O: 0.3880 0.1401 0.9320
O: 0.4321 0.5679 0.3738
O: 0.4690 0.0310 0.7500
O: 0.5000 0.0000 0.0000
O: 0.5000 0.0000 0.5000
O: 0.5310 0.9690 0.2500
O: 0.5679 0.4321 0.6262
O: 0.6120 0.8599 0.0680
O: 0.6401 0.8880 0.4320
O: 0.7031 0.2969 0.8912
O: 0.7160 0.7160 0.5000
O: 0.7211 0.7789 0.2500
O: 0.7789 0.7211 0.7500
O: 0.7840 0.7840 0.0000
O: 0.7969 0.2031 0.3912
O: 0.8599 0.6120 0.9320
O: 0.8880 0.6401 0.5680
O: 0.9321 0.0679 0.1262
O: 0.9690 0.5310 0.7500

Top 10 peaks for 5° ≤ 2θ ≤ 70°, by angle:
d/Å  I (rel.)
7.185  100
6.319  8
5.112  7
5.049  9
4.732  18
4.381  41
3.741  9
3.692  17
3.229  17
3.197  17

=====

(2)
Theoretical X-ray powder pattern
Compound: CdRhF6
Radiation: Cu Kα (λ = 1.5418 Å)
Structure: a crystal structure in the Materials Project, relaxed with GGA-PBE

Crystal structure
abc: 5.7518 5.7518 5.7518
angles: 54.66 54.66 54.66
Fractional coordinates of all 8 atoms:
Cd: 0.0000 0.0000 0.0000
Rh: 0.5000 0.5000 0.5000
F: 0.1213 0.4236 0.7218
F: 0.2782 0.8787 0.5764
F: 0.4236 0.7218 0.1213
F: 0.5764 0.2782 0.8787
F: 0.7218 0.1213 0.4236
F: 0.8787 0.5764 0.2782

Top 10 peaks for 5° ≤ 2θ ≤ 70°, by angle:
d/Å  I (rel.)
3.878  100
2.857  40
2.641  18
2.322  9
2.183  17
1.939  14
1.791  31
1.682  16
1.563  14
1.525  12

=====

(3)
Theoretical X-ray powder pattern
Compound: CuBi2Se4O12
Radiation: Cu Kα (λ = 1.5418 Å)
Structure: a crystal structure in the Materials Project, relaxed with GGA-PBE

Crystal structure
abc: 10.8338 7.4631 8.1802
angles: 90.00 110.61 90.00
Fractional coordinates of all 38 atoms:
Cu: 0.0000 0.0000 0.0000
Cu: 0.0000 0.5000 0.5000
Bi: 0.3989 0.1152 0.2521
Bi: 0.3989 0.3848 0.7521
Bi: 0.6011 0.6152 0.2479
Bi: 0.6011 0.8848 0.7479
Se: 0.1310 0.1658 0.3891
Se: 0.1310 0.3342 0.8891
Se: 0.3133 0.6721 0.3554
Se: 0.3133 0.8279 0.8554
Se: 0.6867 0.1721 0.1446
Se: 0.6867 0.3279 0.6446
Se: 0.8690 0.6658 0.1109
Se: 0.8690 0.8342 0.6109
O: 0.0425 0.1378 0.8255
O: 0.0425 0.3622 0.3255
O: 0.1467 0.1097 0.1873
O: 0.1467 0.3903 0.6873
O: 0.2949 0.2258 0.4784
O: 0.2949 0.2742 0.9784
O: 0.3115 0.6150 0.5596
O: 0.3115 0.8850 0.0596
O: 0.4124 0.5168 0.3057
O: 0.4124 0.9832 0.8057
O: 0.4231 0.6448 0.9204
O: 0.4231 0.8552 0.4204
O: 0.5769 0.1448 0.5796
O: 0.5769 0.3552 0.0796
O: 0.5876 0.0168 0.1943
O: 0.5876 0.4832 0.6943
O: 0.6885 0.1150 0.9404
O: 0.6885 0.3850 0.4404
O: 0.7051 0.7258 0.0216
O: 0.7051 0.7742 0.5216
O: 0.8533 0.6097 0.3127
O: 0.8533 0.8903 0.8127
O: 0.9575 0.6378 0.6745
O: 0.9575 0.8622 0.1745

Top 10 peaks for 5° ≤ 2θ ≤ 70°, by angle:
d/Å  I (rel.)
10.140  79
5.295  28
3.355  100
3.239  50
3.226  44
3.079  26
3.048  40
2.895  35
2.533  30
1.971  23

=====

(4)
Theoretical X-ray powder pattern
Compound: Cs3Cr20Se32
Radiation: Cu Kα (λ = 1.5418 Å)
Structure: a crystal structure in the Materials Project, relaxed with GGA-PBE

Crystal structure
abc: 11.0369 11.6654 11.8069
angles: 68.84 81.53 62.67
Fractional coordinates of all 55 atoms:
Cs: 0.0000 0.0000 0.0000
Cs: 0.2693 0.7311 0.2707
Cs: 0.7307 0.2689 0.7293
Cr: 0.0436 0.6392 0.8779
Cr: 0.0887 0.3220 0.5125
Cr: 0.1258 0.8741 0.6249
Cr: 0.1606 0.4286 0.7369
Cr: 0.2090 0.1099 0.3725
Cr: 0.2947 0.3892 0.1285
Cr: 0.3391 0.0711 0.7635
Cr: 0.3750 0.6251 0.8741
Cr: 0.4103 0.1796 0.9858
Cr: 0.4572 0.8612 0.6227
Cr: 0.5428 0.1388 0.3773
Cr: 0.5897 0.8204 0.0142
Cr: 0.6250 0.3749 0.1259
Cr: 0.6609 0.9289 0.2365
Cr: 0.7053 0.6108 0.8715
Cr: 0.7910 0.8901 0.6275
Cr: 0.8394 0.5714 0.2631
Cr: 0.8742 0.1259 0.3751
Cr: 0.9113 0.6780 0.4875
Cr: 0.9564 0.3608 0.1221
Se: 0.0180 0.1333 0.5200
Se: 0.0690 0.1084 0.2266
Se: 0.0956 0.2485 0.7397
Se: 0.0962 0.3835 0.2734
Se: 0.1544 0.3672 0.9759
Se: 0.1539 0.5005 0.5108
Se: 0.1826 0.6413 0.0247
Se: 0.2331 0.6158 0.7291
Se: 0.2667 0.8835 0.7711
Se: 0.3198 0.8584 0.4774
Se: 0.3460 0.1337 0.5239
Se: 0.3465 0.9983 0.9907
Se: 0.4026 0.2516 0.7592
Se: 0.4047 0.1168 0.2254
Se: 0.4336 0.3897 0.2758
Se: 0.4835 0.3662 0.9789
Se: 0.5165 0.6338 0.0211
Se: 0.5664 0.6103 0.7242
Se: 0.5953 0.8832 0.7746
Se: 0.5974 0.7484 0.2408
Se: 0.6535 0.0017 0.0093
Se: 0.6540 0.8663 0.4761
Se: 0.6802 0.1416 0.5226
Se: 0.7333 0.1165 0.2289
Se: 0.7669 0.3842 0.2709
Se: 0.8174 0.3587 0.9753
Se: 0.8461 0.4995 0.4892
Se: 0.8456 0.6328 0.0241
Se: 0.9038 0.6165 0.7266
Se: 0.9044 0.7515 0.2603
Se: 0.9310 0.8916 0.7734
Se: 0.9820 0.8667 0.4800

Top 10 peaks for 5° ≤ 2θ ≤ 70°, by angle:
d/Å  I (rel.)
2.979  26
2.892  45
2.873  100
2.754  72
2.715  31
2.322  29
2.044  31
1.846  28
1.839  28
1.838  28

=====

(5)
Theoretical X-ray powder pattern
Compound: Mg5TiB2O10
Radiation: Cu Kα (λ = 1.5418 Å)
Structure: a crystal structure in the Materials Project, relaxed with GGA-PBE

Crystal structure
abc: 3.0474 9.3898 12.4675
angles: 90.00 90.00 90.00
Fractional coordinates of all 36 atoms:
Mg: 0.0000 0.0144 0.0000
Mg: 0.0000 0.2348 0.3869
Mg: 0.0000 0.7652 0.8869
Mg: 0.0000 0.9856 0.5000
Mg: 0.5000 0.2344 0.1615
Mg: 0.5000 0.2352 0.8868
Mg: 0.5000 0.2390 0.5971
Mg: 0.5000 0.7610 0.0971
Mg: 0.5000 0.7648 0.3868
Mg: 0.5000 0.7656 0.6615
Ti: 0.0000 0.4901 0.7669
Ti: 0.0000 0.5099 0.2669
B: 0.0000 0.0268 0.7424
B: 0.0000 0.4791 0.0225
B: 0.0000 0.5209 0.5225
B: 0.0000 0.9732 0.2424
O: 0.0000 0.1026 0.6471
O: 0.0000 0.1025 0.8372
O: 0.0000 0.1236 0.2410
O: 0.0000 0.3764 0.5258
O: 0.0000 0.4047 0.1221
O: 0.0000 0.4057 0.9230
O: 0.0000 0.5943 0.4230
O: 0.0000 0.5953 0.6221
O: 0.0000 0.6236 0.0258
O: 0.0000 0.8764 0.7410
O: 0.0000 0.8974 0.1471
O: 0.0000 0.8975 0.3372
O: 0.5000 0.1387 0.4570
O: 0.5000 0.1480 0.0256
O: 0.5000 0.3649 0.7384
O: 0.5000 0.3769 0.3039
O: 0.5000 0.6231 0.8039
O: 0.5000 0.6351 0.2384
O: 0.5000 0.8520 0.5256
O: 0.5000 0.8613 0.9570

Top 10 peaks for 5° ≤ 2θ ≤ 70°, by angle:
d/Å  I (rel.)
5.193  59
2.597  80
2.556  100
2.202  43
2.151  27
2.061  62
1.933  36
1.597  36
1.524  34
1.517  37